This entry pairs a crystal structure of LiNbGeO5 with its theoretical powder diffractogram. Radiation: CuKα. Structure: a crystal structure in the Materials Project, relaxed with GGA-PBE.
Kinematic intensities with the Lorentz-polarization factor, no thermal factor.

Main lines, low angle first (10 to 90 degrees two-theta):
index, Position (°2θ), intensity
1 0 1, 16.1, 16
0 1 1, 17.5, 21
0 0 2, 23.3, 24
2 0 1, 25.3, 100
1 0 2, 25.9, 27
0 2 0, 26.2, 64
2 2 1, 36.8, 27
1 2 2, 37.2, 25
0 1 3, 37.7, 20
2 1 4, 55.1, 31

Crystal structure
```
data_LiNbGeO5
_chemical_formula_sum 'Li4 Nb4 Ge4 O20'
_symmetry_space_group_name_H-M 'P 1'
_symmetry_Int_Tables_number 1
_cell_length_a 7.9191
_cell_length_b 6.7911
_cell_length_c 7.6383
_cell_angle_alpha 90.00
_cell_angle_beta 90.00
_cell_angle_gamma 90.00
loop_
_symmetry_equiv_pos_as_xyz
'x,y,z'
loop_
_atom_site_label
_atom_site_type_symbol
_atom_site_fract_x
_atom_site_fract_y
_atom_site_fract_z
_atom_site_occupancy
Li1 Li 0.0000 0.0000 0.0000 1
Li2 Li 0.0000 0.5000 0.0000 1
Li3 Li 0.5000 0.0000 0.5000 1
Li4 Li 0.5000 0.5000 0.5000 1
Nb1 Nb 0.1634 0.2500 0.2743 1
Nb2 Nb 0.3366 0.7500 0.7743 1
Nb3 Nb 0.6634 0.2500 0.2257 1
Nb4 Nb 0.8366 0.7500 0.7257 1
Ge1 Ge 0.1308 0.7500 0.3694 1
Ge2 Ge 0.3692 0.2500 0.8694 1
Ge3 Ge 0.6308 0.7500 0.1306 1
Ge4 Ge 0.8692 0.2500 0.6306 1
O1 O 0.0550 0.2500 0.5002 1
O2 O 0.1150 0.7500 0.8401 1
O3 O 0.1245 0.5408 0.2338 1
O4 O 0.1245 0.9592 0.2338 1
O5 O 0.1857 0.2500 0.0017 1
O6 O 0.3143 0.7500 0.5017 1
O7 O 0.3755 0.0408 0.7338 1
O8 O 0.3755 0.4592 0.7338 1
O9 O 0.3850 0.2500 0.3401 1
O10 O 0.4450 0.7500 0.0002 1
O11 O 0.5550 0.2500 0.9998 1
O12 O 0.6150 0.7500 0.6599 1
O13 O 0.6245 0.5408 0.2662 1
O14 O 0.6245 0.9592 0.2662 1
O15 O 0.6857 0.2500 0.4983 1
O16 O 0.8143 0.7500 0.9983 1
O17 O 0.8755 0.0408 0.7662 1
O18 O 0.8755 0.4592 0.7662 1
O19 O 0.8850 0.2500 0.1599 1
O20 O 0.9450 0.7500 0.4998 1
```

=====

This entry pairs a crystal structure of Ge3N4 with its theoretical powder diffractogram. Radiation: CuKα. Structure: a crystal structure in the Materials Project, relaxed with GGA-PBE.
Kinematic intensities with the Lorentz-polarization factor, no thermal factor.

Main lines, low angle first (10 to 90 degrees two-theta):
index, Position (°2θ), intensity
1 1 1, 25.1, 18
3 0 1, 32.3, 58
2 2 0, 35.0, 23
3 1 1, 35.7, 84
1 2 1, 36.4, 100
0 0 2, 36.7, 31
4 1 0, 38.7, 19
2 2 2, 51.6, 36
3 3 1, 57.0, 22
6 2 0, 63.4, 22

Crystal structure
```
data_Ge3N4
_chemical_formula_sum 'Ge12 N16'
_symmetry_space_group_name_H-M 'P 1'
_symmetry_Int_Tables_number 1
_cell_length_a 10.1082
_cell_length_b 5.9540
_cell_length_c 4.8966
_cell_angle_alpha 90.00
_cell_angle_beta 90.00
_cell_angle_gamma 90.00
loop_
_symmetry_equiv_pos_as_xyz
'x,y,z'
loop_
_atom_site_label
_atom_site_type_symbol
_atom_site_fract_x
_atom_site_fract_y
_atom_site_fract_z
_atom_site_occupancy
Ge1 Ge 0.0000 0.0000 0.0000 1
Ge2 Ge 0.0000 0.5000 0.0000 1
Ge3 Ge 0.0955 0.2500 0.4488 1
Ge4 Ge 0.2209 0.7500 0.4890 1
Ge5 Ge 0.2791 0.2500 0.9890 1
Ge6 Ge 0.4045 0.7500 0.9488 1
Ge7 Ge 0.5000 0.0000 0.5000 1
Ge8 Ge 0.5000 0.5000 0.5000 1
Ge9 Ge 0.5955 0.2500 0.0512 1
Ge10 Ge 0.7209 0.7500 0.0110 1
Ge11 Ge 0.7791 0.2500 0.5110 1
Ge12 Ge 0.9045 0.7500 0.5512 1
N1 N 0.0686 0.7500 0.7429 1
N2 N 0.0946 0.2500 0.8211 1
N3 N 0.1624 0.0043 0.2589 1
N4 N 0.1624 0.4957 0.2589 1
N5 N 0.3376 0.5043 0.7589 1
N6 N 0.3376 0.9957 0.7589 1
N7 N 0.4054 0.7500 0.3211 1
N8 N 0.4314 0.2500 0.2429 1
N9 N 0.5686 0.7500 0.7571 1
N10 N 0.5946 0.2500 0.6789 1
N11 N 0.6624 0.0043 0.2411 1
N12 N 0.6624 0.4957 0.2411 1
N13 N 0.8376 0.5043 0.7411 1
N14 N 0.8376 0.9957 0.7411 1
N15 N 0.9054 0.7500 0.1789 1
N16 N 0.9314 0.2500 0.2571 1
```

=====

This entry pairs a crystal structure of Ca5Cu2Rh2O12 with its theoretical powder diffractogram. Radiation: CuKα. Structure: a crystal structure in the Materials Project, relaxed with GGA-PBE.
Kinematic intensities with the Lorentz-polarization factor, no thermal factor.

Main lines, low angle first (10 to 90 degrees two-theta):
index, Position (°2θ), intensity
0 1 -1, 18.8, 38
1 -1 0, 19.2, 100
1 0 1, 19.5, 26
1 2 0, 31.0, 17
1 1 -2, 33.2, 53
-2 1 1, 33.9, 35
0 2 2, 39.5, 29
0 3 1, 44.2, 18
3 0 1, 44.8, 14
-1 2 3, 52.8, 17

Crystal structure
```
data_Ca5Cu2Rh2O12
_chemical_formula_sum 'Ca5 Cu2 Rh2 O12'
_symmetry_space_group_name_H-M 'P 1'
_symmetry_Int_Tables_number 1
_cell_length_a 6.4068
_cell_length_b 6.5343
_cell_length_c 6.5711
_cell_angle_alpha 91.90
_cell_angle_beta 90.53
_cell_angle_gamma 90.99
loop_
_symmetry_equiv_pos_as_xyz
'x,y,z'
loop_
_atom_site_label
_atom_site_type_symbol
_atom_site_fract_x
_atom_site_fract_y
_atom_site_fract_z
_atom_site_occupancy
Ca1 Ca 0.0000 0.0000 0.0000 1
Ca2 Ca 0.1107 0.8670 0.5096 1
Ca3 Ca 0.4868 0.1999 0.8167 1
Ca4 Ca 0.6074 0.7053 0.6589 1
Ca5 Ca 0.8639 0.4753 0.1435 1
Cu1 Cu 0.4867 0.7681 0.2130 1
Cu2 Cu 0.9965 0.4058 0.5832 1
Rh1 Rh 0.2355 0.5955 0.8990 1
Rh2 Rh 0.7308 0.0934 0.3961 1
O1 O 0.0264 0.2028 0.3763 1
O2 O 0.1588 0.3152 0.9667 1
O3 O 0.1931 0.7263 0.1843 1
O4 O 0.2829 0.4875 0.6143 1
O5 O 0.3019 0.8868 0.8132 1
O6 O 0.4498 0.9561 0.4280 1
O7 O 0.5371 0.5778 0.9955 1
O8 O 0.6915 0.1667 0.1069 1
O9 O 0.7101 0.3846 0.5158 1
O10 O 0.7772 0.7981 0.2866 1
O11 O 0.7994 0.0133 0.6850 1
O12 O 0.9454 0.6211 0.7791 1
```